TmBiRh: simulated powder X-ray diffraction pattern (Cu Ka), based on a crystal structure in the Materials Project, relaxed with PBE.

Crystal structure
```
3
Lattice="0.0000 3.3606 3.3606 3.3606 0.0000 3.3606 3.3606 3.3606 0.0000" Properties=species:S:1:pos:R:3 pbc="T T T"
Tm 0.0000 0.0000 0.0000
Bi 5.0408 5.0408 5.0408
Rh 3.3606 3.3606 3.3606
```

Most intense lines, 2θ = 10–90°, low angle first:
2θ (°), d (Å), I (rel.)
22.9, 3.880, 48
26.5, 3.361, 3
37.9, 2.376, 100
44.7, 2.026, 26
54.6, 1.680, 18
60.0, 1.542, 11
68.4, 1.372, 36
73.2, 1.293, 8
80.9, 1.188, 11
85.5, 1.136, 9


U3Bi4Rh3: simulated powder X-ray diffraction pattern (Cu Ka), based on a crystal structure in the Materials Project, relaxed with PBE.

Crystal structure
```
20
Lattice="-4.9023 4.9023 4.9023 4.9023 -4.9023 4.9023 4.9023 4.9023 -4.9023" Properties=species:S:1:pos:R:3 pbc="T T T"
U 4.9023 -2.4511 3.6767
U 3.6767 4.9023 -2.4511
U 4.9023 2.4511 1.2256
U 2.4511 1.2256 4.9023
U 1.2256 4.9023 2.4511
U -2.4511 3.6767 4.9023
Bi 3.3178 1.5845 -1.5845
Bi 5.7690 -0.8667 0.8667
Bi 1.5845 -1.5845 3.3178
Bi 1.5845 1.5845 1.5845
Bi -1.5845 3.3178 1.5845
Bi 0.8667 5.7690 -0.8667
Bi -0.8667 0.8667 5.7690
Bi 4.0356 4.0356 4.0356
Rh 7.3534 1.2256 0.0000
Rh 3.6767 0.0000 2.4511
Rh 2.4511 3.6767 0.0000
Rh 0.0000 2.4511 3.6767
Rh 1.2256 0.0000 7.3534
Rh 0.0000 7.3534 1.2256
```

Most intense lines, 2θ = 10–90°, low angle first:
2θ (°), d (Å), I (rel.)
28.8, 3.100, 41
34.2, 2.620, 100
41.2, 2.192, 29
45.3, 2.001, 17
51.0, 1.790, 11
58.0, 1.591, 14
59.6, 1.550, 11
61.3, 1.513, 9
64.5, 1.446, 10
70.6, 1.334, 9


Bi2S3: simulated powder X-ray diffraction pattern (Cu Ka), based on a crystal structure in the Materials Project, relaxed with PBE.

Crystal structure
```
20
Lattice="11.7353 0.0000 0.0000 0.0000 4.0214 0.0000 0.0000 0.0000 11.1705" Properties=species:S:1:pos:R:3 pbc="T T T"
Bi 0.2066 1.0054 1.9387
Bi 1.8333 3.0161 5.2253
Bi 4.0343 1.0054 10.8105
Bi 5.6610 3.0161 7.5240
Bi 6.0743 1.0054 3.6465
Bi 7.7010 3.0161 0.3600
Bi 9.9020 1.0054 5.9452
Bi 11.5287 3.0161 9.2318
S 0.5583 1.0054 7.0335
S 1.4267 3.0161 0.6116
S 2.4740 1.0054 3.4536
S 3.3937 3.0161 9.0388
S 4.4409 1.0054 6.1968
S 5.3093 3.0161 1.4482
S 6.4260 1.0054 9.7223
S 7.2944 3.0161 4.9737
S 8.3417 1.0054 2.1317
S 9.2613 3.0161 7.7169
S 10.3086 1.0054 10.5589
S 11.1770 3.0161 4.1370
```

Most intense lines, 2θ = 10–90°, low angle first:
2θ (°), d (Å), I (rel.)
22.0, 4.046, 44
24.1, 3.692, 88
24.7, 3.601, 45
25.1, 3.549, 75
28.1, 3.180, 38
28.4, 3.144, 100
31.4, 2.852, 79
34.5, 2.597, 42
45.9, 1.979, 55
46.5, 1.954, 41


BiS: simulated powder X-ray diffraction pattern (Cu Ka), based on a crystal structure in the Materials Project, relaxed with PBE.

Crystal structure
```
20
Lattice="15.2435 0.0000 0.0000 0.0000 11.8969 2.8268 0.0000 -11.8969 2.8268" Properties=species:S:1:pos:R:3 pbc="T T T"
Bi 0.0000 -7.4837 2.8268
Bi 0.0000 7.4837 2.8268
Bi 3.0259 -4.4232 2.8433
Bi 3.0259 4.4232 2.8433
Bi 6.0966 -7.5156 2.8830
Bi 6.0966 7.5156 2.8830
Bi 9.1469 -7.5156 2.8830
Bi 9.1469 7.5156 2.8830
Bi 12.2176 -4.4232 2.8433
Bi 12.2176 4.4232 2.8433
S 0.0000 -4.6708 2.8563
S 0.0000 4.6708 2.8563
S 2.8132 -7.1880 2.8120
S 2.8132 7.1880 2.8120
S 5.7501 -4.7266 2.8841
S 5.7501 4.7266 2.8841
S 9.4934 -4.7266 2.8841
S 9.4934 4.7266 2.8841
S 12.4303 -7.1880 2.8120
S 12.4303 7.1880 2.8120
```

Most intense lines, 2θ = 10–90°, low angle first:
2θ (°), d (Å), I (rel.)
22.4, 3.966, 63
22.6, 3.941, 100
26.1, 3.412, 61
27.1, 3.285, 56
29.3, 3.049, 61
30.0, 2.974, 57
30.2, 2.956, 90
31.7, 2.827, 52
32.6, 2.750, 48
53.9, 1.700, 49


BiS3: simulated powder X-ray diffraction pattern (Cu Ka), based on a crystal structure in the Materials Project, relaxed with PBE.

Crystal structure
```
8
Lattice="7.0799 0.0000 0.0000 -3.5399 6.1313 0.0000 0.0000 0.0000 3.9193" Properties=species:S:1:pos:R:3 pbc="T T T"
Bi 0.0000 4.0876 0.9798
Bi 3.5399 2.0438 2.9395
S 0.0000 1.9680 2.9395
S -1.8356 5.1473 2.9395
S 1.7044 0.9840 0.9798
S 1.8356 5.1473 2.9395
S 5.3755 0.9840 0.9798
S 3.5399 4.1633 0.9798
```

Most intense lines, 2θ = 10–90°, low angle first:
2θ (°), d (Å), I (rel.)
14.4, 6.131, 43
25.2, 3.540, 58
27.0, 3.302, 76
29.1, 3.066, 33
37.2, 2.415, 100
45.5, 1.995, 36
51.6, 1.770, 25
59.2, 1.560, 19
65.4, 1.428, 19
71.9, 1.314, 19


BiS: simulated powder X-ray diffraction pattern (Cu Ka), based on a crystal structure in the Materials Project, relaxed with PBE.

Crystal structure
```
24
Lattice="0.0000 18.0264 2.8388 11.6907 0.0000 2.8388 11.6907 18.0264 0.0000" Properties=species:S:1:pos:R:3 pbc="T T T"
Bi 19.0925 13.4654 2.8388
Bi 15.9756 10.4998 2.8836
Bi 15.9860 16.5063 2.7965
Bi 19.0925 22.5874 2.8388
Bi 15.9860 19.5465 2.7965
Bi 7.4057 10.4998 2.8836
Bi 15.9756 25.5530 2.8836
Bi 7.3953 16.5063 2.7965
Bi 4.2888 13.4654 2.8388
Bi 7.3953 19.5465 2.7965
Bi 7.4057 25.5530 2.8836
Bi 4.2888 22.5874 2.8388
S 16.2815 7.5855 2.8877
S 18.7889 16.1819 2.7958
S 16.3084 13.2489 2.8511
S 18.7889 19.8708 2.7958
S 7.0998 7.5855 2.8877
S 16.3084 22.8038 2.8511
S 7.0730 13.2489 2.8511
S 16.2815 28.4672 2.8877
S 4.5925 16.1819 2.7958
S 7.0730 22.8038 2.8511
S 4.5925 19.8708 2.7958
S 7.0998 28.4672 2.8877
```

Most intense lines, 2θ = 10–90°, low angle first:
2θ (°), d (Å), I (rel.)
22.8, 3.897, 71
23.0, 3.871, 100
26.0, 3.426, 71
27.6, 3.228, 50
29.7, 3.004, 63
30.6, 2.923, 57
30.7, 2.910, 54
31.5, 2.839, 56
32.5, 2.759, 49
54.4, 1.686, 45


BiS: simulated powder X-ray diffraction pattern (Cu Ka), based on a crystal structure in the Materials Project, relaxed with PBE.

Crystal structure
```
4
Lattice="2.8471 -2.8045 0.0000 2.8471 2.8045 0.0000 -1.6583 0.0000 10.9252" Properties=species:S:1:pos:R:3 pbc="T T T"
Bi 0.5089 0.0000 3.7442
Bi 3.5270 0.0000 7.1811
S 0.4980 0.0000 6.7125
S 3.5379 0.0000 4.2127
```

Most intense lines, 2θ = 10–90°, low angle first:
2θ (°), d (Å), I (rel.)
23.0, 3.868, 36
24.4, 3.642, 81
24.6, 3.613, 100
26.3, 3.389, 82
31.6, 2.832, 57
31.9, 2.805, 49
40.6, 2.222, 44
42.1, 2.147, 32
45.5, 1.992, 34
54.1, 1.695, 33


BiSbS3: simulated powder X-ray diffraction pattern (Cu Ka), based on a crystal structure in the Materials Project, relaxed with PBE.

Crystal structure
```
20
Lattice="11.8677 0.0000 0.0000 0.0000 3.9689 0.0000 0.0000 0.0000 11.2056" Properties=species:S:1:pos:R:3 pbc="T T T"
Bi 0.1865 0.9922 1.9024
Bi 5.7473 2.9767 7.5052
Bi 6.1204 0.9922 3.7004
Bi 11.6812 2.9767 9.3032
Sb 1.7353 2.9767 5.1748
Sb 4.1985 0.9922 10.7776
Sb 7.6692 2.9767 0.4280
Sb 10.1324 0.9922 6.0308
S 0.5492 0.9922 7.0083
S 1.4533 2.9767 0.6292
S 2.4012 0.9922 3.5094
S 3.5326 2.9767 9.1122
S 4.4806 0.9922 6.2320
S 5.3846 2.9767 1.4055
S 6.4830 0.9922 9.8001
S 7.3871 2.9767 4.9736
S 8.3351 0.9922 2.0934
S 9.4665 2.9767 7.6962
S 10.4144 0.9922 10.5764
S 11.3185 2.9767 4.1973
```

Most intense lines, 2θ = 10–90°, low angle first:
2θ (°), d (Å), I (rel.)
14.9, 5.934, 70
23.8, 3.735, 87
25.0, 3.564, 79
28.2, 3.164, 49
28.6, 3.124, 100
31.5, 2.843, 45
34.2, 2.622, 35
38.7, 2.324, 43
45.8, 1.982, 71
46.6, 1.951, 38


Bi4Se3S3: simulated powder X-ray diffraction pattern (Cu Ka), based on a crystal structure in the Materials Project, relaxed with PBE.

Crystal structure
```
20
Lattice="4.1093 0.0000 0.0000 0.0000 11.4238 0.0000 0.0000 0.0000 11.8573" Properties=species:S:1:pos:R:3 pbc="T T T"
Bi 0.0000 0.9101 0.0000
Bi 0.0000 3.2563 3.8028
Bi 0.0000 8.1675 9.7315
Bi 0.0000 10.5137 5.9286
Bi 2.0547 2.3907 7.5699
Bi 2.0547 4.7367 11.4211
Bi 2.0547 6.6871 5.4924
Bi 2.0547 9.0331 1.6412
Se 0.0000 4.3629 6.3246
Se 0.0000 7.0609 0.3960
Se 2.0547 1.2966 5.0512
Se 2.0547 5.1187 3.0722
Se 2.0547 6.3051 9.0009
Se 2.0547 10.1272 10.9799
S 0.0000 0.6470 8.1893
S 0.0000 3.4437 10.2206
S 0.0000 7.9801 4.2919
S 0.0000 10.7768 2.2607
S 2.0547 2.2235 1.1911
S 2.0547 9.2003 7.1197
```

Most intense lines, 2θ = 10–90°, low angle first:
2θ (°), d (Å), I (rel.)
23.8, 3.735, 56
24.6, 3.626, 33
27.5, 3.245, 27
27.8, 3.211, 100
30.8, 2.907, 53
32.0, 2.793, 24
34.1, 2.631, 26
38.3, 2.353, 27
44.1, 2.055, 35
45.0, 2.016, 48


SmBiS3: simulated powder X-ray diffraction pattern (Cu Ka), based on a crystal structure in the Materials Project, relaxed with PBE.

Crystal structure
```
20
Lattice="11.0424 0.0000 0.0000 0.0000 4.0460 0.0000 0.0000 0.0000 10.9283" Properties=species:S:1:pos:R:3 pbc="T T T"
Sm 0.0932 1.0115 1.8919
Sm 5.4280 3.0345 7.3560
Sm 5.6144 1.0115 3.5723
Sm 10.9493 3.0345 9.0364
Bi 1.9297 1.0115 5.7994
Bi 3.5916 3.0345 0.3352
Bi 7.4509 1.0115 10.5931
Bi 9.1128 3.0345 5.1289
S 0.4893 3.0345 3.9868
S 1.2757 1.0115 10.2690
S 2.4974 3.0345 7.5820
S 3.0238 1.0115 2.1179
S 4.2455 3.0345 4.8048
S 5.0319 1.0115 9.4510
S 6.0105 3.0345 1.4773
S 6.7969 1.0115 6.1235
S 8.0187 3.0345 8.8104
S 8.5450 1.0115 3.3463
S 9.7668 3.0345 0.6593
S 10.5531 1.0115 6.9415
```

Most intense lines, 2θ = 10–90°, low angle first:
2θ (°), d (Å), I (rel.)
22.9, 3.884, 65
24.8, 3.588, 67
25.5, 3.488, 97
25.8, 3.459, 56
27.3, 3.264, 51
28.6, 3.121, 100
31.9, 2.802, 62
34.1, 2.629, 58
44.8, 2.023, 39
47.1, 1.929, 52